Record 1
Starting from a cell relaxed with GGA-PBE, the powder diffraction line list of Ba2SnOsS6 was calculated for λ = 1.5418 Å (Cu Kα).
Peak positions follow from Bragg's law for the DFT cell and can differ from measured ones.

Structure:
abc: 9.913 9.913 9.913
angles: 90.00 90.00 90.00
Space group Fm-3m (No. 225)
One atom of each set of equivalent atoms:
Ba  0.250  0.250  0.250
Sn  0.000  0.000  0.000
Os  0.000  0.000  0.500
S  0.000  0.000  0.261

Principal peaks in the range 2θ from 10° to 80°, sorted by position:
h k l  two_theta  I (rel.)
1 1 1  15.5  5
2 0 0  17.9  6
2 2 0  25.4  100
4 0 0  36.2  46
4 2 2  44.8  45
4 4 0  52.2  31
6 2 0  58.9  21
4 4 4  65.2  11
6 4 2  71.2  24
8 0 0  76.9  5


Record 2
Starting from a cell relaxed with GGA-PBE, the powder diffraction line list of YFeAs2 was calculated for λ = 1.5418 Å (Cu Kα).
Peak positions follow from Bragg's law for the DFT cell and can differ from measured ones.

Structure:
abc: 6.710 6.710 6.710
angles: 90.00 90.00 90.00
Space group F-43m (No. 216)
One atom of each set of equivalent atoms:
Y  0.000  0.000  0.000
Fe  0.250  0.250  0.250
As  0.000  0.000  0.500
As  0.250  0.250  0.750

Principal peaks in the range 2θ from 10° to 80°, sorted by position:
h k l  two_theta  I (rel.)
1 1 1  23.0  1
2 0 0  26.6  1
2 2 0  37.9  100
3 1 1  44.8  1
4 0 0  54.7  17
4 2 0  61.8  1
4 2 2  68.5  33


Record 3
Starting from a cell relaxed with GGA-PBE, the powder diffraction line list of Na3TcO4 was calculated for λ = 1.5418 Å (Cu Kα).
Peak positions follow from Bragg's law for the DFT cell and can differ from measured ones.

Structure:
abc: 4.987 4.987 4.987
angles: 90.00 90.00 90.00
Space group P-43m (No. 215)
One atom of each set of equivalent atoms:
Na  0.000  0.000  0.500
Tc  0.500  0.500  0.500
O  0.285  0.285  0.715

Principal peaks in the range 2θ from 10° to 80°, sorted by position:
h k l  two_theta  I (rel.)
1 0 0  17.8  74
1 1 0  25.3  47
1 1 1  31.1  100
2 0 0  36.0  19
2 1 0  40.4  17
2 1 1  44.5  19
2 2 0  51.9  48
2 2 1  55.3  13
3 1 1  61.7  35
3 2 1  70.7  11